Diffraction record for Tl2HgI4. The X-ray diffraction stick pattern is simulated, not measured: it uses a crystal structure in Alexandria, relaxed with GGA-PBE and CuKα.
No peak broadening, texture or thermal motion is included.

Cell and atoms:
```
Tl2HgI4
1.0
0.000 6.949 4.904
5.047 0.000 4.904
5.047 6.949 0.000
Tl Hg I
2 1 4
Cartesian
2.523 3.475 0.000
2.523 3.475 4.904
5.047 6.949 1.122
5.047 4.240 2.456
7.546 6.949 4.914
5.047 9.658 2.456
2.548 6.949 4.914
```

Most intense lines, 2θ = 10–80°, in order of rising 2θ:
2theta	intensity
14.11	649
18.09	300
25.32	1000
25.64	483
28.44	320
31.56	310
34.72	359
35.58	312
36.35	473
43.23	227
44.37	224
48.92	269